For Pm3SiHg, a DFT-relaxed cell (GGA-PBE, Alexandria) gives the simulated X-ray powder pattern in this record (Cu Kα, 1.54184 Å).
Neutral-atom scattering factors, no anomalous dispersion.

Principal peaks in the range 10 to 80 degrees two-theta, by angle:
| (hkl) | 2theta | I_rel |
| --- | --- | --- |
| 0 2 1 | 26.19 | 465 |
| 1 0 2 | 27.85 | 863 |
| 1 1 2 | 30.46 | 122 |
| 1 2 1 | 33.17 | 1000 |
| 1 1 3 | 37.58 | 153 |
| 0 2 3 | 38.16 | 292 |
| 2 0 0 | 40.64 | 250 |
| 2 2 1 | 48.99 | 172 |
| 0 4 0 | 49.84 | 136 |
| 2 2 3 | 56.97 | 184 |
| 1 4 2 | 58.06 | 221 |
| 3 2 1 | 69.22 | 120 |

Atomic structure:
Cell: 4.4401 7.3181 9.2516 Å, 90.00 90.00 90.00°
Element x y z (fractional)
Pm (0.2500, 0.0082, 0.1675)
Pm (0.2500, 0.2500, 0.5787)
Pm (0.2500, 0.4918, 0.1675)
Pm (0.7500, 0.5082, 0.8325)
Pm (0.7500, 0.7500, 0.4213)
Pm (0.7500, 0.9918, 0.8325)
Si (0.2500, 0.2500, 0.8980)
Si (0.7500, 0.7500, 0.1020)
Hg (0.2500, 0.7500, 0.6565)
Hg (0.7500, 0.2500, 0.3435)